# 1
This entry pairs a crystal structure of In3SnPd3 with its computed PXRD pattern. Radiation: Cu Kα. Structure: a PBE-relaxed structure.
Peak positions follow from Bragg's law for the DFT cell and can differ from measured ones.

Principal peaks in the range 15 to 90 degrees two-theta, sorted by position:
2θ (°), I (rel.), (hkl)
19.1, 23, 1 0 1
27.1, 9, 0 2 1
33.4, 9, 2 1 1
38.6, 100, 2 0 2
38.8, 99, 2 2 0
55.9, 34, 0 4 2
69.8, 17, 0 2 4
70.1, 50, 6 0 0
82.8, 11, 4 0 4
83.2, 11, 4 4 0

Structural model:
a = 9.2925 Å, b = 9.2925 Å, c = 5.7207 Å
α = 90.00°, β = 90.00°, γ = 120.00°
Space group R-3m (No. 166, hexagonal axes)
Symmetry-distinct sites (fractional):
1 In 0.0000 0.5000 0.0000 x9
2 Sn 0.0000 0.0000 0.0000 x3
3 Pd 0.0000 0.5000 0.5000 x9



# 2
This entry pairs a crystal structure of Pa3GaNi4 with its computed PXRD pattern. Radiation: Cu Kα. Structure: a PBE-relaxed structure.
Peak positions follow from Bragg's law for the DFT cell and can differ from measured ones.

Principal peaks in the range 15 to 90 degrees two-theta, sorted by position:
2θ (°), I (rel.), (hkl)
24.0, 59, 0 1 3
29.8, 21, 0 2 0
32.2, 100, 1 1 2
39.4, 23, 0 2 4
40.1, 28, 1 2 1
41.0, 36, 1 0 5
49.5, 18, 0 3 3
52.2, 19, 2 0 0
54.4, 22, 1 3 2
76.9, 26, 1 3 8

Structural model:
a = 3.505 Å, b = 5.999 Å, c = 14.159 Å
α = 90.00°, β = 90.00°, γ = 90.00°
Space group Immm (No. 71)
Symmetry-distinct sites (fractional):
1 Pa 0.000 0.000 0.000 x2
2 Pa 0.000 0.500 0.193 x4
3 Ga 0.000 0.000 0.500 x2
4 Ni 0.000 0.298 0.371 x8



# 3
This entry pairs a crystal structure of Zn2HgPb with its computed PXRD pattern. Radiation: Cu Kα. Structure: a PBE-relaxed structure.
Peak positions follow from Bragg's law for the DFT cell and can differ from measured ones.

Principal peaks in the range 15 to 90 degrees two-theta, sorted by position:
2θ (°), I (rel.), (hkl)
20.8, 20, 0 0 2
27.5, 20, 1 1 0
34.7, 100, 1 1 2
39.3, 36, 2 0 0
42.3, 15, 0 0 4
44.9, 12, 2 0 2
56.8, 12, 2 2 0
59.1, 22, 2 0 4
68.3, 28, 3 1 2
72.5, 12, 1 1 6

Structural model:
a = 4.587 Å, b = 4.587 Å, c = 8.542 Å
α = 90.00°, β = 90.00°, γ = 90.00°
Space group I4/mmm (No. 139)
Symmetry-distinct sites (fractional):
1 Zn 0.000 0.500 0.250 x4
2 Hg 0.000 0.000 0.000 x2
3 Pb 0.000 0.000 0.500 x2



# 4
This entry pairs a crystal structure of Hf2ReMoC with its computed PXRD pattern. Radiation: Cu Kα. Structure: a PBE-relaxed structure.
Peak positions follow from Bragg's law for the DFT cell and can differ from measured ones.

Principal peaks in the range 15 to 90 degrees two-theta, sorted by position:
2θ (°), I (rel.), (hkl)
19.4, 6, 1 0 0
36.1, 100, 1 1 1
39.4, 42, 2 0 0
46.6, 13, 0 0 2
57.0, 14, 2 2 0
62.6, 21, 2 0 2
69.3, 30, 3 1 1
76.5, 12, 2 2 2
79.4, 11, 1 1 3
84.8, 5, 4 0 0

Structural model:
a = 4.573 Å, b = 4.573 Å, c = 3.901 Å
α = 90.00°, β = 90.00°, γ = 90.00°
Space group P4/mmm (No. 123)
Symmetry-distinct sites (fractional):
1 Hf 0.000 0.500 0.000 x2
2 Re 0.000 0.000 0.500 x1
3 Mo 0.500 0.500 0.500 x1
4 C 0.000 0.000 0.000 x1